# 1
Diffraction record for Sm3Al3Zn8. The X-ray powder pattern is calculated, not measured: it uses a PBE-relaxed structure and Cu Kα.
No peak broadening, texture or thermal motion is included.

Most intense lines, 10° ≤ 2θ ≤ 90°, sorted by position:
d [Å], intensity
3.033, 18
2.658, 15
2.566, 100
2.557, 19
2.481, 14
2.160, 24
2.129, 12
1.650, 10
1.377, 10
1.313, 12

Atomic structure:
Cell: 8.275 8.275 8.275 Å, 149.73 109.15 78.95°
Element x y z (fractional)
Sm  0.000  0.000  0.000
Sm  0.305  0.305  0.000
Sm  0.695  0.695  0.000
Al  0.291  0.500  0.791
Al  0.500  0.000  0.500
Al  0.709  0.500  0.209
Zn  0.030  0.662  0.367
Zn  0.136  0.861  0.275
Zn  0.295  0.662  0.633
Zn  0.414  0.139  0.275
Zn  0.586  0.861  0.725
Zn  0.705  0.338  0.367
Zn  0.864  0.139  0.725
Zn  0.970  0.338  0.633


# 2
Diffraction record for SmAl2Zn9. The X-ray powder pattern is calculated, not measured: it uses a PBE-relaxed structure and Cu Kα.
No peak broadening, texture or thermal motion is included.

Most intense lines, 10° ≤ 2θ ≤ 90°, sorted by position:
d [Å], intensity
3.158, 11
2.713, 25
2.427, 100
2.415, 13
2.371, 67
2.290, 24
2.117, 12
2.030, 35
1.966, 12
1.379, 30

Atomic structure:
Cell: 8.281 8.281 8.281 Å, 100.40 100.40 129.72°
Element x y z (fractional)
Sm  0.375  0.625  0.750
Sm  0.625  0.375  0.250
Al  0.000  0.000  0.000
Al  0.000  0.000  0.500
Al  0.000  0.500  0.000
Al  0.500  0.000  0.500
Zn  0.125  0.875  0.250
Zn  0.129  0.552  0.335
Zn  0.129  0.794  0.576
Zn  0.206  0.283  0.335
Zn  0.206  0.871  0.924
Zn  0.283  0.206  0.835
Zn  0.283  0.448  0.076
Zn  0.448  0.283  0.576
Zn  0.448  0.871  0.165
Zn  0.552  0.129  0.835
Zn  0.552  0.717  0.424
Zn  0.717  0.552  0.924
Zn  0.717  0.794  0.165
Zn  0.794  0.129  0.076
Zn  0.794  0.717  0.665
Zn  0.871  0.206  0.424
Zn  0.871  0.448  0.665
Zn  0.875  0.125  0.750


# 3
Diffraction record for Sm2Al5Zn2. The X-ray powder pattern is calculated, not measured: it uses a PBE-relaxed structure and Cu Kα.
No peak broadening, texture or thermal motion is included.

Most intense lines, 10° ≤ 2θ ≤ 90°, sorted by position:
d [Å], intensity
5.042, 37
3.228, 64
2.972, 50
2.560, 100
2.162, 53
2.101, 48
1.761, 23
1.507, 33
1.486, 15
1.285, 23

Atomic structure:
Cell: 4.202 4.202 10.084 Å, 90.00 90.00 90.00°
Element x y z (fractional)
Sm  0.000  0.000  0.000
Sm  0.000  0.000  0.500
Al  0.000  0.500  0.227
Al  0.000  0.500  0.773
Al  0.500  0.000  0.227
Al  0.500  0.000  0.773
Al  0.500  0.500  0.000
Zn  0.500  0.500  0.382
Zn  0.500  0.500  0.618


# 4
Diffraction record for SmAl2Zn10. The X-ray powder pattern is calculated, not measured: it uses a PBE-relaxed structure and Cu Kα.
No peak broadening, texture or thermal motion is included.

Most intense lines, 10° ≤ 2θ ≤ 90°, sorted by position:
d [Å], intensity
3.196, 36
2.708, 50
2.591, 86
2.310, 100
2.239, 89
2.233, 88
2.213, 73
2.048, 45
1.454, 43
1.296, 32

Atomic structure:
Cell: 8.853 6.830 6.811 Å, 80.93 49.63 49.44°
Element x y z (fractional)
Sm  0.000  0.000  0.000
Al  0.000  0.000  0.500
Al  0.500  0.500  0.000
Zn  0.000  0.355  0.645
Zn  0.000  0.500  0.000
Zn  0.000  0.645  0.355
Zn  0.284  0.498  0.502
Zn  0.355  0.000  0.000
Zn  0.498  0.284  0.716
Zn  0.500  0.000  0.500
Zn  0.502  0.716  0.284
Zn  0.645  0.000  0.000
Zn  0.716  0.502  0.498


# 5
Diffraction record for Sm3Al9Zn2. The X-ray powder pattern is calculated, not measured: it uses a PBE-relaxed structure and Cu Kα.
No peak broadening, texture or thermal motion is included.

Most intense lines, 10° ≤ 2θ ≤ 90°, sorted by position:
d [Å], intensity
5.072, 17
3.978, 43
3.878, 31
3.012, 19
2.664, 26
2.633, 34
2.590, 100
2.162, 23
2.098, 15
1.671, 17

Atomic structure:
Cell: 8.368 8.368 8.368 Å, 150.05 105.39 82.43°
Element x y z (fractional)
Sm  0.000  0.000  0.000
Sm  0.317  0.317  0.000
Sm  0.683  0.683  0.000
Al  0.033  0.661  0.371
Al  0.140  0.864  0.277
Al  0.290  0.661  0.629
Al  0.413  0.136  0.277
Al  0.500  0.000  0.500
Al  0.587  0.864  0.723
Al  0.710  0.339  0.371
Al  0.860  0.136  0.723
Al  0.967  0.339  0.629
Zn  0.287  0.500  0.787
Zn  0.713  0.500  0.213


# 6
Diffraction record for Sr2Al7Sn. The X-ray powder pattern is calculated, not measured: it uses a PBE-relaxed structure and Cu Kα.
No peak broadening, texture or thermal motion is included.

Most intense lines, 10° ≤ 2θ ≤ 90°, sorted by position:
d [Å], intensity
4.245, 32
2.892, 47
2.806, 100
2.294, 44
2.010, 20
1.798, 23
1.622, 15
1.615, 15
1.512, 16
1.404, 30

Atomic structure:
Cell: 4.589 4.589 11.176 Å, 90.00 90.00 90.00°
Element x y z (fractional)
Sr  0.000  0.500  0.244
Sr  0.500  0.000  0.756
Al  0.000  0.000  0.000
Al  0.000  0.500  0.638
Al  0.000  0.500  0.871
Al  0.500  0.000  0.129
Al  0.500  0.000  0.362
Al  0.500  0.500  0.000
Al  0.500  0.500  0.500
Sn  0.000  0.000  0.500


# 7
Diffraction record for Sr3Al2Sn3. The X-ray powder pattern is calculated, not measured: it uses a PBE-relaxed structure and Cu Kα.
No peak broadening, texture or thermal motion is included.

Most intense lines, 10° ≤ 2θ ≤ 90°, sorted by position:
d [Å], intensity
3.434, 35
3.127, 85
3.095, 35
2.990, 100
2.702, 74
2.682, 37
2.469, 29
2.396, 53
1.836, 26
1.659, 31

Atomic structure:
Cell: 6.638 6.638 16.092 Å, 90.00 90.00 137.68°
Element x y z (fractional)
Sr  0.068  0.932  0.609
Sr  0.068  0.932  0.891
Sr  0.346  0.654  0.750
Sr  0.654  0.346  0.250
Sr  0.932  0.068  0.109
Sr  0.932  0.068  0.391
Al  0.235  0.765  0.100
Al  0.235  0.765  0.400
Al  0.765  0.235  0.600
Al  0.765  0.235  0.900
Sn  0.359  0.641  0.250
Sn  0.366  0.634  0.546
Sn  0.366  0.634  0.954
Sn  0.634  0.366  0.046
Sn  0.634  0.366  0.454
Sn  0.641  0.359  0.750


# 8
Diffraction record for Sr2AlSn3. The X-ray powder pattern is calculated, not measured: it uses a PBE-relaxed structure and Cu Kα.
No peak broadening, texture or thermal motion is included.

Most intense lines, 10° ≤ 2θ ≤ 90°, sorted by position:
d [Å], intensity
4.692, 21
3.223, 47
3.078, 100
2.486, 55
2.346, 25
2.296, 24
2.005, 16
1.870, 20
1.706, 36
1.641, 17

Atomic structure:
Cell: 4.593 4.692 8.869 Å, 90.00 90.00 90.00°
Element x y z (fractional)
Sr  0.000  0.000  0.000
Sr  0.500  0.000  0.498
Al  0.500  0.500  0.163
Sn  0.000  0.500  0.318
Sn  0.000  0.500  0.661
Sn  0.500  0.500  0.858